# LaTbDyHo2
Computed X-ray diffraction stick pattern, a wavelength of 1.5418 Å. Input: a cell relaxed with GGA-PBE.
Intensities are scaled so that the largest is 100.

Most intense lines, 10 to 90 degrees two-theta, sorted by position:
index	2θ (°)	I/Imax
0 1 2	26.1	27
0 0 3	31.2	15
1 1 1	31.3	100
0 2 0	32.1	41
1 0 2	32.4	20
0 1 3	35.2	26
1 1 2	36.3	23
1 0 3	40.2	15
1 2 2	46.2	15
1 2 3	52.3	14
1 3 1	56.7	19
1 1 5	62.0	21

Crystal structure
```
data_LaTbDyHo2
_chemical_formula_sum 'La1 Tb1 Dy1 Ho2'
_cell_length_a 3.601
_cell_length_b 5.583
_cell_length_c 8.606
_cell_angle_alpha 90.00
_cell_angle_beta 90.00
_cell_angle_gamma 90.00
_symmetry_space_group_name_H-M 'P m m m'
_symmetry_Int_Tables_number 47
loop_
_symmetry_equiv_pos_as_xyz
'x,y,z'
'-x,-y,-z'
'-x,-y,z'
'x,y,-z'
'x,-y,-z'
'-x,y,z'
'-x,y,-z'
'x,-y,z'
loop_
_atom_site_label
_atom_site_type_symbol
_atom_site_fract_x
_atom_site_fract_y
_atom_site_fract_z
La1 La 0.000 0.000 0.000
Tb1 Tb 0.500 0.000 0.500
Dy1 Dy 0.500 0.500 0.000
Ho1 Ho 0.000 0.500 0.320
```


# Nb2VW3
Computed X-ray diffraction stick pattern, a wavelength of 1.5418 Å. Input: a cell relaxed with GGA-PBE.
Intensities are scaled so that the largest is 100.

Most intense lines, 10 to 90 degrees two-theta, sorted by position:
index	2θ (°)	I/Imax
0 0 1	12.9	8
2 0 -1	17.5	4
2 0 1	19.5	5
1 1 1	24.9	5
0 2 0	40.0	20
3 1 2	40.2	100
2 2 -3	58.0	14
8 0 1	58.2	7
3 3 2	72.8	14
8 2 1	73.0	7
6 0 4	73.1	20
6 2 4	86.8	9

Crystal structure
```
data_Nb2VW3
_chemical_formula_sum 'Nb8 V4 W12'
_cell_length_a 13.451
_cell_length_b 4.507
_cell_length_c 6.907
_cell_angle_alpha 90.00
_cell_angle_beta 96.21
_cell_angle_gamma 90.00
_symmetry_space_group_name_H-M 'C 1 2/m 1'
_symmetry_Int_Tables_number 12
loop_
_symmetry_equiv_pos_as_xyz
'x,y,z'
'-x,-y,-z'
'-x,y,-z'
'x,-y,z'
'x+1/2,y+1/2,z'
'-x+1/2,-y+1/2,-z'
'-x+1/2,y+1/2,-z'
'x+1/2,-y+1/2,z'
loop_
_atom_site_label
_atom_site_type_symbol
_atom_site_fract_x
_atom_site_fract_y
_atom_site_fract_z
Nb1 Nb 0.041 0.000 0.194
Nb2 Nb 0.231 0.500 0.651
V1 V 0.154 0.500 0.270
W1 W 0.075 0.500 0.887
W2 W 0.113 0.000 0.581
W3 W 0.193 0.000 0.957
```


# Pm3GeIr2
Computed X-ray diffraction stick pattern, a wavelength of 1.5418 Å. Input: a cell relaxed with GGA-PBE.
Intensities are scaled so that the largest is 100.

Most intense lines, 10 to 90 degrees two-theta, sorted by position:
index	2θ (°)	I/Imax
2 0 2	20.8	38
2 1 2	30.5	73
4 0 1	30.9	44
0 1 3	31.2	100
1 1 3	32.1	52
3 1 2	35.0	93
4 1 1	38.3	44
2 1 4	40.0	40
4 1 2	40.5	52
3 0 5	43.5	55
0 2 0	45.0	64
3 2 5	64.4	35

Crystal structure
```
data_Pm3GeIr2
_chemical_formula_sum 'Pm12 Ge4 Ir8'
_cell_length_a 11.905
_cell_length_b 4.031
_cell_length_c 12.219
_cell_angle_alpha 90.00
_cell_angle_beta 90.00
_cell_angle_gamma 90.00
_symmetry_space_group_name_H-M 'P n m a'
_symmetry_Int_Tables_number 62
loop_
_symmetry_equiv_pos_as_xyz
'x,y,z'
'-x,-y,-z'
'-x+1/2,-y,z+1/2'
'x+1/2,y,-z+1/2'
'x+1/2,-y+1/2,-z+1/2'
'-x+1/2,y+1/2,z+1/2'
'-x,y+1/2,-z'
'x,-y+1/2,z'
loop_
_atom_site_label
_atom_site_type_symbol
_atom_site_fract_x
_atom_site_fract_y
_atom_site_fract_z
Pm1 Pm 0.056 0.250 0.119
Pm2 Pm 0.128 0.750 0.561
Pm3 Pm 0.198 0.250 0.814
Ge1 Ge 0.122 0.250 0.364
Ir1 Ir 0.013 0.750 0.311
Ir2 Ir 0.187 0.750 0.984
```


# Pm12Bi6C
Computed X-ray diffraction stick pattern, a wavelength of 1.5418 Å. Input: a cell relaxed with GGA-PBE.
Intensities are scaled so that the largest is 100.

Most intense lines, 10 to 90 degrees two-theta, sorted by position:
index	2θ (°)	I/Imax
0 0 3	21.3	25
2 1 1	21.5	64
2 -1 3	25.2	28
2 2 0	26.7	21
1 3 1	28.7	45
1 0 4	29.6	53
3 1 2	31.4	100
0 4 2	34.2	28
2 1 4	35.3	59
1 4 0	35.6	39
5 -3 2	36.8	60
7 1 3	64.9	19

Crystal structure
```
data_Pm12Bi6C
_chemical_formula_sum 'Pm36 Bi18 C3'
_cell_length_a 13.3494
_cell_length_b 13.3494
_cell_length_c 12.4906
_cell_angle_alpha 90.00
_cell_angle_beta 90.00
_cell_angle_gamma 120.00
_symmetry_space_group_name_H-M 'R -3'
_symmetry_Int_Tables_number 148
_symmetry_space_group_name_Hall '-R 3'
loop_
_atom_site_label
_atom_site_type_symbol
_atom_site_fract_x
_atom_site_fract_y
_atom_site_fract_z
Pm1 Pm 0.0339 0.1924 0.3878
Pm2 Pm 0.0576 0.1776 0.8811
Bi1 Bi 0.0409 0.4281 0.3115
C1 C 0.0000 0.0000 0.0000
```


# CoOs3Se
Computed X-ray diffraction stick pattern, a wavelength of 1.5418 Å. Input: a cell relaxed with GGA-PBE.
Intensities are scaled so that the largest is 100.

Most intense lines, 10 to 90 degrees two-theta, sorted by position:
index	2θ (°)	I/Imax
1 0 0	19.8	43
1 1 0	28.2	2
1 1 1	34.7	100
2 0 0	40.3	84
2 1 0	45.3	20
2 1 1	49.9	1
2 2 0	58.3	57
3 0 0	62.2	10
3 1 1	69.7	40
2 2 2	73.3	19
3 2 0	76.8	5
4 0 0	87.1	9

Crystal structure
```
data_CoOs3Se
_chemical_formula_sum 'Co1 Os3 Se1'
_cell_length_a 4.476
_cell_length_b 4.476
_cell_length_c 4.476
_cell_angle_alpha 90.00
_cell_angle_beta 90.00
_cell_angle_gamma 90.00
_symmetry_space_group_name_H-M 'P m -3 m'
_symmetry_Int_Tables_number 221
_symmetry_space_group_name_Hall '-P 4 2 3'
loop_
_atom_site_label
_atom_site_type_symbol
_atom_site_fract_x
_atom_site_fract_y
_atom_site_fract_z
Co1 Co 0.000 0.000 0.000
Os1 Os 0.000 0.500 0.500
Se1 Se 0.500 0.500 0.500
```


# Ac12Ni5Ru
Computed X-ray diffraction stick pattern, a wavelength of 1.5418 Å. Input: a cell relaxed with GGA-PBE.
Intensities are scaled so that the largest is 100.

Most intense lines, 10 to 90 degrees two-theta, sorted by position:
index	2θ (°)	I/Imax
0 0 2	12.9	19
0 0 4	26.1	35
1 3 -2	26.4	100
1 3 2	28.5	95
2 0 -4	32.5	29
2 0 4	39.2	21
0 6 0	42.2	61
1 3 -6	44.8	23
1 3 6	48.8	21
0 6 4	50.2	25
4 0 -3	50.4	18
4 0 1	51.7	19

Crystal structure
```
data_Ac12Ni5Ru
_chemical_formula_sum 'Ac24 Ni10 Ru2'
_cell_length_a 7.421
_cell_length_b 12.856
_cell_length_c 13.889
_cell_angle_alpha 90.00
_cell_angle_beta 100.11
_cell_angle_gamma 90.00
_symmetry_space_group_name_H-M 'C 1 2/m 1'
_symmetry_Int_Tables_number 12
loop_
_symmetry_equiv_pos_as_xyz
'x,y,z'
'-x,-y,-z'
'-x,y,-z'
'x,-y,z'
'x+1/2,y+1/2,z'
'-x+1/2,-y+1/2,-z'
'-x+1/2,y+1/2,-z'
'x+1/2,-y+1/2,z'
loop_
_atom_site_label
_atom_site_type_symbol
_atom_site_fract_x
_atom_site_fract_y
_atom_site_fract_z
Ac1 Ac 0.129 0.000 0.382
Ac2 Ac 0.129 0.333 0.382
Ac3 Ac 0.204 0.166 0.116
Ac4 Ac 0.207 0.500 0.116
Ni1 Ni 0.000 0.167 0.500
Ni2 Ni 0.000 0.333 0.000
Ni3 Ni 0.000 0.500 0.500
Ru1 Ru 0.000 0.000 0.000
```


# RbFe2AuI8
Computed X-ray diffraction stick pattern, a wavelength of 1.5418 Å. Input: a cell relaxed with GGA-PBE.
Intensities are scaled so that the largest is 100.

Most intense lines, 10 to 90 degrees two-theta, sorted by position:
index	2θ (°)	I/Imax
1 1 -1	13.9	65
2 0 -2	19.7	33
1 1 2	22.0	40
2 0 2	25.1	26
2 2 0	25.3	40
0 2 2	25.7	100
4 0 0	31.5	42
0 0 4	32.7	24
4 2 -2	37.8	26
0 4 0	40.1	25
4 2 2	44.1	42
0 4 4	52.7	21

Crystal structure
```
data_RbFe2AuI8
_chemical_formula_sum 'Rb2 Fe4 Au2 I16'
_cell_length_a 11.698
_cell_length_b 8.984
_cell_length_c 11.265
_cell_angle_alpha 90.00
_cell_angle_beta 103.63
_cell_angle_gamma 90.00
_symmetry_space_group_name_H-M 'C 1 2/m 1'
_symmetry_Int_Tables_number 12
loop_
_symmetry_equiv_pos_as_xyz
'x,y,z'
'-x,-y,-z'
'-x,y,-z'
'x,-y,z'
'x+1/2,y+1/2,z'
'-x+1/2,-y+1/2,-z'
'-x+1/2,y+1/2,-z'
'x+1/2,-y+1/2,z'
loop_
_atom_site_label
_atom_site_type_symbol
_atom_site_fract_x
_atom_site_fract_y
_atom_site_fract_z
Rb1 Rb 0.000 0.000 0.000
Fe1 Fe 0.120 0.500 0.265
Au1 Au 0.000 0.000 0.500
I1 I 0.008 0.270 0.735
I2 I 0.204 0.500 0.078
I3 I 0.229 0.000 0.519
```


# Y3Tm7
Computed X-ray diffraction stick pattern, a wavelength of 1.5418 Å. Input: a cell relaxed with GGA-PBE.
Intensities are scaled so that the largest is 100.

Most intense lines, 10 to 90 degrees two-theta, sorted by position:
index	2θ (°)	I/Imax
2 0 -2	26.0	8
2 0 2	30.5	19
5 1 0	32.3	100
0 2 0	32.5	28
3 1 2	37.8	12
2 2 2	45.2	13
6 0 2	47.4	12
1 3 2	57.9	9
5 3 0	57.9	10
6 2 2	58.7	10
3 1 4	62.7	16
2 2 -4	62.8	8

Crystal structure
```
data_Y3Tm7
_chemical_formula_sum 'Y6 Tm14'
_cell_length_a 16.390
_cell_length_b 5.506
_cell_length_c 7.019
_cell_angle_alpha 90.00
_cell_angle_beta 102.35
_cell_angle_gamma 90.00
_symmetry_space_group_name_H-M 'C 1 2/m 1'
_symmetry_Int_Tables_number 12
loop_
_symmetry_equiv_pos_as_xyz
'x,y,z'
'-x,-y,-z'
'-x,y,-z'
'x,-y,z'
'x+1/2,y+1/2,z'
'-x+1/2,-y+1/2,-z'
'-x+1/2,y+1/2,-z'
'x+1/2,-y+1/2,z'
loop_
_atom_site_label
_atom_site_type_symbol
_atom_site_fract_x
_atom_site_fract_y
_atom_site_fract_z
Y1 Y 0.000 0.000 0.000
Y2 Y 0.211 0.000 0.355
Tm1 Tm 0.000 0.000 0.500
Tm2 Tm 0.097 0.500 0.299
Tm3 Tm 0.099 0.500 0.799
Tm4 Tm 0.213 0.000 0.857
```